The following is a computed powder X-ray diffraction pattern of Pu3Hg2I8. It was derived from a crystal structure in Alexandria, relaxed with GGA-PBE, using λ = 1.5418 Å (Cu Kα).
Peak positions follow from Bragg's law for the DFT cell and can differ from measured ones.

Main lines, sorted by position (2θ = 10–90°):
2θ = 14.16°, d 6.257, intensity 50
2θ = 17.04°, d 5.203, intensity 41
2θ = 21.45°, d 4.143, intensity 80
2θ = 24.31°, d 3.661, intensity 60
2θ = 26.14°, d 3.408, intensity 63
2θ = 28.53°, d 3.128, intensity 91
2θ = 31.35°, d 2.853, intensity 100
2θ = 37.96°, d 2.370, intensity 31
2θ = 39.94°, d 2.257, intensity 91
2θ = 68.08°, d 1.377, intensity 30

Structural model:
```
Pu3Hg2I8
1.0
9.030 0.000 0.000
-4.515 7.820 0.000
0.000 0.000 20.860
Pu Hg I
6 4 16
direct
0.166 0.333 0.000
0.166 0.834 0.000
0.333 0.166 0.500
0.667 0.834 0.000
0.834 0.166 0.500
0.834 0.667 0.500
0.333 0.667 0.252
0.333 0.667 0.726
0.667 0.333 0.226
0.667 0.333 0.752
0.000 0.000 0.089
0.000 0.000 0.589
0.011 0.506 0.084
0.162 0.323 0.416
0.162 0.838 0.416
0.323 0.162 0.916
0.333 0.667 0.912
0.494 0.506 0.084
0.494 0.989 0.084
0.506 0.011 0.584
0.506 0.494 0.584
0.667 0.333 0.412
0.677 0.838 0.416
0.838 0.162 0.916
0.838 0.677 0.916
0.989 0.494 0.584
```